CsRbSnI4: computed powder diffractogram (a wavelength of 1.5418 Å), based on a DFT-relaxed cell (GGA-PBE, Alexandria).
No peak broadening, texture or thermal motion is included.

Principal peaks in the range 10 to 80 degrees two-theta, low angle first:
2theta, intensity
20.13, 38
22.20, 47
27.39, 34
27.54, 66
28.05, 39
28.62, 100
40.50, 58
40.92, 38
50.01, 31
50.34, 31

Crystal structure
```
CsRbSnI4
1.0
-3.1193 3.1193 9.5440
3.1193 -3.1193 9.5440
3.1193 3.1193 -9.5440
Cs Rb Sn I
1 1 1 4
direct
0.0000 0.0000 0.0000
0.7238 0.7238 0.0000
0.3619 0.3619 0.0000
0.1974 0.1974 0.0000
0.3582 0.8582 0.5000
0.5305 0.5305 0.0000
0.8582 0.3582 0.5000
```

***

Tl4Au3Br12: computed powder diffractogram (a wavelength of 1.5418 Å), based on a DFT-relaxed cell (GGA-PBE, Alexandria).
No peak broadening, texture or thermal motion is included.

Principal peaks in the range 10 to 80 degrees two-theta, low angle first:
2theta, intensity
10.73, 31
18.64, 19
21.55, 100
24.13, 28
30.67, 22
37.79, 87
49.43, 34
54.52, 15
59.30, 25
68.24, 26

Crystal structure
```
Tl4Au3Br12
1.0
-5.8309 5.8309 5.8309
5.8309 -5.8309 5.8309
5.8309 5.8309 -5.8309
Tl Au Br
4 3 12
direct
0.0000 0.0000 0.5000
0.0000 0.5000 0.0000
0.5000 0.0000 0.0000
0.5000 0.5000 0.5000
0.0000 0.5000 0.5000
0.5000 0.0000 0.5000
0.5000 0.5000 0.0000
0.1521 0.4988 0.3467
0.1521 0.8054 0.6533
0.1946 0.3467 0.8479
0.3467 0.1521 0.4988
0.3467 0.8479 0.1946
0.4988 0.3467 0.1521
0.5012 0.6533 0.8479
0.6533 0.1521 0.8054
0.6533 0.8479 0.5012
0.8054 0.6533 0.1521
0.8479 0.1946 0.3467
0.8479 0.5012 0.6533
```

***

Sr2Li5Pd4: computed powder diffractogram (a wavelength of 1.5418 Å), based on a DFT-relaxed cell (GGA-PBE, Alexandria).
No peak broadening, texture or thermal motion is included.

Principal peaks in the range 10 to 80 degrees two-theta, low angle first:
2theta, intensity
11.57, 15
18.59, 15
23.26, 92
30.62, 56
31.78, 75
35.96, 100
38.81, 55
52.69, 37
55.16, 15
57.96, 25

Crystal structure
```
Sr2Li5Pd4
1.0
0.0000 4.9313 7.6472
2.9197 0.0000 7.6472
2.9197 4.9313 0.0000
Sr Li Pd
2 5 4
direct
0.1508 0.1508 0.8492
0.8492 0.8492 0.1508
0.0000 0.0000 0.5000
0.2500 0.2500 0.2500
0.5000 0.5000 0.0000
0.5000 0.5000 0.5000
0.7500 0.7500 0.7500
0.2224 0.5101 0.4899
0.4899 0.7776 0.2224
0.5101 0.2224 0.7776
0.7776 0.4899 0.5101
```

***

Al2IrAu: computed powder diffractogram (a wavelength of 1.5418 Å), based on a DFT-relaxed cell (GGA-PBE, Alexandria).
No peak broadening, texture or thermal motion is included.

Principal peaks in the range 10 to 80 degrees two-theta, low angle first:
2theta, intensity
29.95, 29
36.76, 35
37.05, 49
38.15, 14
40.30, 23
41.10, 100
48.11, 16
55.68, 18
63.76, 17
69.15, 22

Crystal structure
```
Al2IrAu
1.0
1.4709 -2.4452 0.0000
1.4709 2.4452 0.0000
0.0000 0.0000 8.9512
Al Ir Au
2 1 1
direct
0.0000 0.0000 0.0000
0.5000 0.5000 0.2540
0.5000 0.5000 0.7829
0.0000 0.0000 0.5005
```

***

K2Rb5Cd: computed powder diffractogram (a wavelength of 1.5418 Å), based on a DFT-relaxed cell (GGA-PBE, Alexandria).
No peak broadening, texture or thermal motion is included.

Principal peaks in the range 10 to 80 degrees two-theta, low angle first:
2theta, intensity
11.35, 24
22.49, 20
22.67, 18
22.82, 100
23.38, 36
23.49, 35
24.99, 39
27.54, 20
27.68, 21
41.04, 18

Crystal structure
```
K2Rb5Cd
1.0
9.1315 0.0000 0.0000
-0.0373 9.1523 0.0000
-4.3174 -4.3897 7.1277
K Rb Cd
2 5 1
direct
0.0000 0.0000 0.0000
0.0755 0.0749 0.5320
0.0604 0.5822 0.5394
0.1655 0.5394 0.0876
0.5393 0.1649 0.0881
0.5830 0.0592 0.5400
0.6128 0.6122 0.9659
0.6076 0.6095 0.5388
```

***

SiGeTeSe: computed powder diffractogram (a wavelength of 1.5418 Å), based on a DFT-relaxed cell (GGA-PBE, Alexandria).
No peak broadening, texture or thermal motion is included.

Principal peaks in the range 10 to 80 degrees two-theta, low angle first:
2theta, intensity
11.60, 30
23.33, 18
23.90, 56
24.77, 79
29.65, 100
32.53, 35
43.40, 54
44.68, 41
52.79, 18
55.38, 17

Crystal structure
```
SiGeTeSe
1.0
7.6322 -1.8703 0.0000
7.6322 1.8703 0.0000
-0.1756 0.0000 4.1677
Si Ge Te Se
1 1 1 1
direct
0.0000 0.0000 0.0000
0.9164 0.9164 0.4910
0.3035 0.3035 0.5916
0.5943 0.5943 0.0750
```